# 1
For NdNi2B2, the GGA-PBE geometry in OQMD gives the calculated powder X-ray diffraction pattern in this record (Cu Kα (λ = 1.5418 Å)).

Crystal structure
```
10
Lattice="4.2689 -2.7477 0.0000 4.2689 2.7477 0.0000 -4.1164 0.0000 5.4682" Properties=species:S:1:pos:R:3 pbc="T T T"
Nd 1.1816 2.0831 4.1012
Nd 3.2398 -2.0831 1.3671
Ni 1.9732 0.5186 1.6469
Ni -0.0850 -0.5186 4.3810
Ni 4.5064 0.5186 1.0873
Ni 2.4482 -0.5186 3.8214
B -1.2165 0.9643 5.3253
B 3.5797 0.9643 2.8771
B 0.8417 -0.9643 2.5911
B 5.6379 -0.9643 0.1430
```

Principal peaks in the range 2θ = 5–70°, low angle first:
2θ 26.1, intensity 34
2θ 31.5, intensity 20
2θ 32.8, intensity 56
2θ 36.3, intensity 41
2θ 36.6, intensity 100
2θ 36.7, intensity 63
2θ 39.0, intensity 18
2θ 43.1, intensity 33
2θ 44.1, intensity 28
2θ 56.3, intensity 18

# 2
For Tm2PbO2, the GGA-PBE geometry in OQMD gives the calculated powder X-ray diffraction pattern in this record (Cu Kα (λ = 1.5418 Å)).

Crystal structure
```
5
Lattice="-1.8797 1.8797 6.9366 1.8797 -1.8797 6.9366 1.8797 1.8797 -6.9366" Properties=species:S:1:pos:R:3 pbc="T T T"
Tm 0.0000 0.0000 2.3691
Tm 0.0000 0.0000 11.5041
Pb 0.0000 0.0000 6.9366
O 1.8797 0.0000 3.4683
O 0.0000 1.8797 3.4683
```

Principal peaks in the range 2θ = 5–70°, low angle first:
2θ 24.5, intensity 1
2θ 25.7, intensity 1
2θ 30.6, intensity 100
2θ 33.7, intensity 34
2θ 39.0, intensity 12
2θ 48.4, intensity 16
2θ 52.4, intensity 25
2θ 58.4, intensity 33
2θ 63.8, intensity 11
2θ 65.4, intensity 11

# 3
For ErLuCo2, the GGA-PBE geometry in OQMD gives the calculated powder X-ray diffraction pattern in this record (Cu Kα (λ = 1.5418 Å)).

Crystal structure
```
8
Lattice="3.8642 0.0000 0.0000 0.0000 5.4014 0.0000 0.0000 0.0000 7.2234" Properties=species:S:1:pos:R:3 pbc="T T T"
Er 0.0000 0.7174 0.0000
Er 0.0000 4.6840 3.6117
Lu 1.9321 1.9868 4.6557
Lu 1.9321 3.4146 1.0440
Co 0.0000 1.9263 2.5383
Co 0.0000 3.4751 6.1500
Co 1.9321 0.8140 2.1343
Co 1.9321 4.5874 5.7460
```

Principal peaks in the range 2θ = 5–70°, low angle first:
2θ 28.4, intensity 34
2θ 31.0, intensity 100
2θ 34.0, intensity 88
2θ 35.5, intensity 85
2θ 38.0, intensity 60
2θ 41.0, intensity 60
2θ 42.7, intensity 68
2θ 47.0, intensity 39
2θ 60.3, intensity 37
2θ 64.2, intensity 31